Entry 1:
For PuThB4, the GGA-PBE geometry in Alexandria gives the simulated powder diffractogram in this record (Cu Kα (λ = 1.5418 Å)).
No peak broadening, texture or thermal motion is included.

Main lines, most intense first (10 to 90 degrees two-theta):
2θ (°)  I_rel
37.23  100
21.54  89
30.00  76
43.11  36
54.08  31
36.88  25
64.67  22
43.90  20

Cell lengths 6.154, 6.154, 4.125 Å; angles 90.00, 90.00, 104.29 degrees
Positions (direct):
Pu 0.167 0.167 0.000
Pu 0.833 0.833 0.000
Th 0.308 0.692 0.000
Th 0.692 0.308 0.000
B 0.060 0.384 0.500
B 0.099 0.901 0.500
B 0.379 0.379 0.500
B 0.384 0.060 0.500
B 0.616 0.940 0.500
B 0.621 0.621 0.500
B 0.901 0.099 0.500
B 0.940 0.616 0.500


Entry 2:
For RbB, the GGA-PBE geometry in Alexandria gives the simulated powder diffractogram in this record (Cu Kα (λ = 1.5418 Å)).
No peak broadening, texture or thermal motion is included.

Main lines, most intense first (10 to 90 degrees two-theta):
2θ (°)  I_rel
22.97  100
38.31  75
32.72  61
47.82  47
28.92  43
26.10  32
17.31  31
70.64  29

Cell lengths 11.829, 11.829, 3.238 Å; angles 90.00, 90.00, 120.00 degrees
Positions (direct):
Rb 0.206 0.411 0.250
Rb 0.206 0.794 0.250
Rb 0.411 0.206 0.750
Rb 0.589 0.794 0.250
Rb 0.794 0.206 0.750
Rb 0.794 0.589 0.750
B 0.004 0.502 0.750
B 0.498 0.502 0.750
B 0.498 0.996 0.750
B 0.502 0.004 0.250
B 0.502 0.498 0.250
B 0.996 0.498 0.250